Structure and computed powder X-ray diffraction pattern of Tm5SbRh2 (a structure optimized by DFT (PBE); Cu Kα X-rays).

Crystal structure
Cell lengths 7.659, 7.659, 13.257 Å; angles 90.00, 90.00, 90.00 degrees
Space group I4/mcm (No. 140)
Symmetry-distinct sites (fractional):
1 Tm 0.000 0.000 0.000 (multiplicity 4)
2 Tm 0.156 0.344 0.136 (multiplicity 16)
3 Sb 0.000 0.000 0.250 (multiplicity 4)
4 Rh 0.140 0.360 0.500 (multiplicity 8)

The 10 most intense peaks (15 to 90 degrees two-theta), most intense first:
Position (°2θ)	I_rel	h k l
33.1	100.0	2 1 3
37.1	56.3	3 1 0
55.4	25.9	0 0 8
35.8	25.7	2 0 4
31.7	23.4	1 1 4
68.6	21.0	3 1 8
69.4	20.9	4 4 0
43.1	20.4	2 1 5
53.5	18.7	4 2 0
85.4	16.1	2 1 11